(1)
# Ca3Al9Au2
Computed powder diffractogram, λ = 1.5418 Å (Cu Kα). Input: a crystal structure in Alexandria, relaxed with PBE.
Neutral-atom scattering factors, no anomalous dispersion.

The 12 most intense peaks (2θ = 5–70°), in order of rising 2θ:
index  d_spacing  2θ (°)  I_rel
0 1 1  7.854  11.27  38
0 0 2  6.324  14.00  87
0 2 0  5.009  17.71  30
1 0 1  4.172  21.30  72
0 2 2  3.927  22.64  41
0 3 1  3.229  27.63  37
1 2 1  3.206  27.83  53
0 3 3  2.618  34.25  42
1 2 3  2.606  34.42  100
1 3 2  2.455  36.60  71
2 0 0  2.210  40.83  35
1 3 4  2.038  44.46  35

Crystal structure
```
data_Ca3Al9Au2
_chemical_formula_sum 'Ca6 Al18 Au4'
_cell_length_a 4.4198
_cell_length_b 10.0189
_cell_length_c 12.6485
_cell_angle_alpha 90.00
_cell_angle_beta 90.00
_cell_angle_gamma 90.00
_symmetry_space_group_name_H-M 'I m m m'
_symmetry_Int_Tables_number 71
_symmetry_space_group_name_Hall '-I 2 2'
loop_
_atom_site_label
_atom_site_fract_x
_atom_site_fract_y
_atom_site_fract_z
_atom_site_occupancy
Ca1 0.0000 0.0000 0.0000 1
Ca2 0.0000 0.0000 0.2993 1
Al1 0.0000 0.2824 0.1380 1
Al2 0.0000 0.3672 0.3433 1
Al3 0.0000 0.5000 0.0000 1
Au1 0.0000 0.1923 0.5000 1
```

***

(2)
# Ca3Al2Au8
Computed powder diffractogram, λ = 1.5418 Å (Cu Kα). Input: a crystal structure in Alexandria, relaxed with PBE.
Neutral-atom scattering factors, no anomalous dispersion.

The 12 most intense peaks (2θ = 5–70°), in order of rising 2θ:
index  d_spacing  2θ (°)  I_rel
1 1 1  4.718  18.81  100
1 0 1  4.178  21.27  74
0 1 2  4.048  21.96  83
1 1 -2  2.713  33.02  89
2 0 0  2.633  34.05  91
1 1 3  2.539  35.36  66
1 2 3  2.478  36.26  76
-1 1 3  2.389  37.65  96
1 -1 2  2.252  40.04  64
0 3 1  2.176  41.50  84
2 3 1  2.087  43.36  68
-2 1 2  2.070  43.73  82

Crystal structure
```
data_Ca3Al2Au8
_chemical_formula_sum 'Ca3 Al2 Au8'
_cell_length_a 5.6495
_cell_length_b 7.0537
_cell_length_c 8.3701
_cell_angle_alpha 66.48
_cell_angle_beta 86.01
_cell_angle_gamma 69.31
_symmetry_space_group_name_H-M 'P -1'
_symmetry_Int_Tables_number 2
_symmetry_space_group_name_Hall '-P 1'
loop_
_atom_site_label
_atom_site_fract_x
_atom_site_fract_y
_atom_site_fract_z
_atom_site_occupancy
Ca1 0.0000 0.0000 0.0000 1
Ca2 0.4927 0.2900 0.3618 1
Al1 0.1350 0.4339 0.6740 1
Au1 0.0370 0.2414 0.2371 1
Au2 0.0488 0.8016 0.3993 1
Au3 0.3800 0.3664 0.9704 1
Au4 0.4952 0.9192 0.2268 1
```

***

(3)
# Ca4AlAu3
Computed powder diffractogram, λ = 1.5418 Å (Cu Kα). Input: a crystal structure in Alexandria, relaxed with PBE.
Neutral-atom scattering factors, no anomalous dispersion.

The 12 most intense peaks (2θ = 5–70°), in order of rising 2θ:
index  d_spacing  2θ (°)  I_rel
0 0 1  11.347  7.79  48
0 0 2  5.673  15.62  56
1 0 1  3.829  23.23  77
0 1 2  3.549  25.09  38
1 1 1  2.930  30.51  77
0 1 4  2.407  37.36  50
1 1 3  2.366  38.03  100
0 2 0  2.274  39.64  34
2 0 0  2.034  44.55  22
1 2 1  1.956  46.43  26
2 1 4  1.554  59.50  26
2 2 0  1.516  61.13  19

Crystal structure
```
data_Ca4AlAu3
_chemical_formula_sum 'Ca4 Al1 Au3'
_cell_length_a 4.0682
_cell_length_b 4.5490
_cell_length_c 11.3467
_cell_angle_alpha 90.00
_cell_angle_beta 90.00
_cell_angle_gamma 90.00
_symmetry_space_group_name_H-M 'P m m 2'
_symmetry_Int_Tables_number 25
_symmetry_space_group_name_Hall 'P 2 -2'
loop_
_atom_site_label
_atom_site_fract_x
_atom_site_fract_y
_atom_site_fract_z
_atom_site_occupancy
Ca1 0.0000 0.0000 0.0000 1
Ca2 0.0000 0.5000 0.2798 1
Ca3 0.5000 0.0000 0.4887 1
Ca4 0.5000 0.5000 0.7857 1
Al1 0.0000 0.0000 0.7016 1
Au1 0.0000 0.5000 0.5747 1
Au2 0.5000 0.0000 0.2192 1
Au3 0.5000 0.5000 0.0581 1
```

***

(4)
# Ca3Al2Au3
Computed powder diffractogram, λ = 1.5418 Å (Cu Kα). Input: a crystal structure in Alexandria, relaxed with PBE.
Neutral-atom scattering factors, no anomalous dispersion.

The 12 most intense peaks (2θ = 5–70°), in order of rising 2θ:
index  d_spacing  2θ (°)  I_rel
1 0 1  4.874  18.20  53
2 0 0  4.040  22.00  37
0 3 1  3.918  22.70  37
1 3 1  3.526  25.26  100
2 3 0  3.168  28.16  46
1 0 2  2.858  31.30  87
1 3 2  2.494  36.02  39
3 0 1  2.465  36.45  80
1 4 2  2.290  39.34  52
1 7 1  1.996  45.43  47
4 3 0  1.879  48.46  43
4 7 0  1.484  62.58  42

Crystal structure
```
data_Ca3Al2Au3
_chemical_formula_sum 'Ca12 Al8 Au12'
_cell_length_a 8.0805
_cell_length_b 15.3182
_cell_length_c 6.1102
_cell_angle_alpha 90.00
_cell_angle_beta 90.00
_cell_angle_gamma 90.00
_symmetry_space_group_name_H-M 'P n m a'
_symmetry_Int_Tables_number 62
_symmetry_space_group_name_Hall '-P 2ac 2n'
loop_
_atom_site_label
_atom_site_fract_x
_atom_site_fract_y
_atom_site_fract_z
_atom_site_occupancy
Ca1 0.0282 0.1060 0.1376 1
Ca2 0.1755 0.2500 0.5981 1
Al1 0.1242 0.6021 0.3769 1
Au1 0.1749 0.0426 0.6001 1
Au2 0.1812 0.7500 0.5840 1
```

***

(5)
# Ca3Al6Au5
Computed powder diffractogram, λ = 1.5418 Å (Cu Kα). Input: a crystal structure in Alexandria, relaxed with PBE.
Neutral-atom scattering factors, no anomalous dispersion.

The 12 most intense peaks (2θ = 5–70°), in order of rising 2θ:
index  d_spacing  2θ (°)  I_rel
1 0 1  3.966  22.42  100
1 1 1  3.794  23.45  50
0 0 3  3.295  27.06  53
0 3 2  3.255  27.40  73
1 3 1  2.924  30.58  56
0 4 2  2.712  33.03  29
1 0 3  2.622  34.19  28
1 3 2  2.602  34.47  79
2 0 0  2.165  41.72  64
1 0 4  2.146  42.10  29
1 4 3  2.039  44.43  34
2 3 2  1.802  50.65  46

Crystal structure
```
data_Ca3Al6Au5
_chemical_formula_sum 'Ca6 Al12 Au10'
_cell_length_a 4.3318
_cell_length_b 12.9741
_cell_length_c 9.8843
_cell_angle_alpha 90.00
_cell_angle_beta 90.00
_cell_angle_gamma 90.00
_symmetry_space_group_name_H-M 'P m m n'
_symmetry_Int_Tables_number 59
loop_
_symmetry_equiv_pos_as_xyz
'x,y,z'
'-x,-y,-z'
'-x+1/2,-y+1/2,z'
'x+1/2,y+1/2,-z'
'x+1/2,-y,-z'
'-x+1/2,y,z'
'-x,y+1/2,-z'
'x,-y+1/2,z'
loop_
_atom_site_label
_atom_site_fract_x
_atom_site_fract_y
_atom_site_fract_z
_atom_site_occupancy
Ca1 0.2500 0.0567 0.2451 1
Ca2 0.2500 0.7500 0.2582 1
Al1 0.2500 0.0691 0.5896 1
Al2 0.2500 0.2500 0.0287 1
Al3 0.2500 0.2500 0.4286 1
Al4 0.2500 0.5954 0.9874 1
Au1 0.2500 0.0922 0.8605 1
Au2 0.2500 0.6325 0.5363 1
Au3 0.2500 0.7500 0.8070 1
```

***

(6)
# Ca3AlAu3
Computed powder diffractogram, λ = 1.5418 Å (Cu Kα). Input: a crystal structure in Alexandria, relaxed with PBE.
Neutral-atom scattering factors, no anomalous dispersion.

The 12 most intense peaks (2θ = 5–70°), in order of rising 2θ:
index  d_spacing  2θ (°)  I_rel
2 0 -1  5.661  15.65  15
1 1 0  4.002  22.21  77
2 0 2  3.658  24.33  30
2 0 -4  3.557  25.03  29
1 1 2  3.294  27.07  14
1 1 -4  2.832  31.59  100
3 1 -4  2.515  35.71  28
4 0 -5  2.392  37.61  18
3 1 2  2.342  38.43  70
0 2 0  2.161  41.80  28
5 1 -2  2.004  45.24  16
1 1 6  1.913  47.54  16

Crystal structure
```
data_Ca3AlAu3
_chemical_formula_sum 'Ca12 Al4 Au12'
_cell_length_a 11.3267
_cell_length_b 4.3222
_cell_length_c 14.9921
_cell_angle_alpha 90.00
_cell_angle_beta 110.55
_cell_angle_gamma 90.00
_symmetry_space_group_name_H-M 'C 1 2/m 1'
_symmetry_Int_Tables_number 12
_symmetry_space_group_name_Hall '-C 2y'
loop_
_atom_site_label
_atom_site_fract_x
_atom_site_fract_y
_atom_site_fract_z
_atom_site_occupancy
Ca1 0.0177 0.0000 0.3824 1
Ca2 0.1045 0.0000 0.9214 1
Ca3 0.2432 0.0000 0.2295 1
Al1 0.2350 0.5000 0.4063 1
Au1 0.0368 0.5000 0.2422 1
Au2 0.1187 0.5000 0.0778 1
Au3 0.1380 0.5000 0.5470 1
```

***

(7)
# CaCeAlAu
Computed powder diffractogram, λ = 1.5418 Å (Cu Kα). Input: a crystal structure in Alexandria, relaxed with PBE.
Neutral-atom scattering factors, no anomalous dispersion.

The 9 most intense peaks (2θ = 5–70°), in order of rising 2θ:
index  d_spacing  2θ (°)  I_rel
1 1 1  4.260  20.85  52
2 0 0  3.689  24.12  1
2 2 0  2.609  34.38  100
3 1 1  2.225  40.55  30
4 0 0  1.845  49.41  18
3 3 1  1.693  54.18  13
4 2 0  1.650  55.71  1
4 2 2  1.506  61.57  37
5 1 1  1.420  65.76  10

Crystal structure
```
data_CaCeAlAu
_chemical_formula_sum 'Ca4 Ce4 Al4 Au4'
_cell_length_a 7.3788
_cell_length_b 7.3788
_cell_length_c 7.3788
_cell_angle_alpha 90.00
_cell_angle_beta 90.00
_cell_angle_gamma 90.00
_symmetry_space_group_name_H-M 'F -4 3 m'
_symmetry_Int_Tables_number 216
_symmetry_space_group_name_Hall 'F -4 2 3'
loop_
_atom_site_label
_atom_site_fract_x
_atom_site_fract_y
_atom_site_fract_z
_atom_site_occupancy
Ca1 0.0000 0.0000 0.0000 1
Ce1 0.0000 0.0000 0.5000 1
Al1 0.2500 0.2500 0.2500 1
Au1 0.2500 0.2500 0.7500 1
```

***

(8)
# CaAl2CuAu5
Computed powder diffractogram, λ = 1.5418 Å (Cu Kα). Input: a crystal structure in Alexandria, relaxed with PBE.
Neutral-atom scattering factors, no anomalous dispersion.

The 12 most intense peaks (2θ = 5–70°), in order of rising 2θ:
index  d_spacing  2θ (°)  I_rel
0 1 1  5.337  16.61  23
1 0 1  4.500  19.73  13
1 0 3  3.285  27.15  100
0 2 2  2.669  33.58  28
1 2 1  2.439  36.86  41
2 0 0  2.385  37.72  35
0 0 6  2.265  39.80  29
0 2 4  2.207  40.90  26
1 2 3  2.175  41.52  40
2 2 2  1.778  51.39  17
2 0 6  1.642  55.99  21
2 2 4  1.620  56.85  20

Crystal structure
```
data_CaAl2CuAu5
_chemical_formula_sum 'Ca2 Al4 Cu2 Au10'
_cell_length_a 4.7694
_cell_length_b 5.8033
_cell_length_c 13.5908
_cell_angle_alpha 90.00
_cell_angle_beta 90.00
_cell_angle_gamma 90.00
_symmetry_space_group_name_H-M 'I m m m'
_symmetry_Int_Tables_number 71
_symmetry_space_group_name_Hall '-I 2 2'
loop_
_atom_site_label
_atom_site_fract_x
_atom_site_fract_y
_atom_site_fract_z
_atom_site_occupancy
Ca1 0.0000 0.0000 0.0000 1
Al1 0.0000 0.5000 0.1854 1
Cu1 0.0000 0.0000 0.5000 1
Au1 0.0000 0.2508 0.3384 1
Au2 0.0000 0.5000 0.0000 1
```

***

(9)
# CaAlCuAu3
Computed powder diffractogram, λ = 1.5418 Å (Cu Kα). Input: a crystal structure in Alexandria, relaxed with PBE.
Neutral-atom scattering factors, no anomalous dispersion.

The 12 most intense peaks (2θ = 5–70°), in order of rising 2θ:
index  d_spacing  2θ (°)  I_rel
0 2 0  5.978  14.82  100
1 1 1  4.250  20.90  31
2 2 0  2.942  30.38  82
0 2 2  2.733  32.77  78
1 1 2  2.724  32.88  30
0 4 1  2.688  33.33  26
2 0 2  2.273  39.64  97
2 4 0  2.239  40.28  39
3 1 0  2.214  40.75  25
0 4 2  2.143  42.18  40
2 4 1  2.104  42.99  25
2 6 2  1.499  61.92  30

Crystal structure
```
data_CaAlCuAu3
_chemical_formula_sum 'Ca4 Al4 Cu4 Au12'
_cell_length_a 6.7590
_cell_length_b 11.9568
_cell_length_c 6.1453
_cell_angle_alpha 90.00
_cell_angle_beta 90.00
_cell_angle_gamma 90.00
_symmetry_space_group_name_H-M 'C m c m'
_symmetry_Int_Tables_number 63
_symmetry_space_group_name_Hall '-C 2c 2'
loop_
_atom_site_label
_atom_site_fract_x
_atom_site_fract_y
_atom_site_fract_z
_atom_site_occupancy
Ca1 0.0000 0.2057 0.2500 1
Al1 0.0000 0.1247 0.7500 1
Cu1 0.0000 0.4412 0.2500 1
Au1 0.0000 0.3308 0.7500 1
Au2 0.2162 0.0000 0.0000 1
```

***

(10)
# Ca3Al2GaAu9
Computed powder diffractogram, λ = 1.5418 Å (Cu Kα). Input: a crystal structure in Alexandria, relaxed with PBE.
Neutral-atom scattering factors, no anomalous dispersion.

The 12 most intense peaks (2θ = 5–70°), in order of rising 2θ:
index  d_spacing  2θ (°)  I_rel
1 0 1  4.727  18.77  43
0 0 3  3.866  23.01  79
0 2 1  2.526  35.54  82
2 0 2  2.364  38.07  100
0 1 5  2.117  42.71  8
0 2 4  1.931  47.05  53
2 1 1  1.929  47.11  8
2 0 5  1.727  53.01  22
1 1 6  1.623  56.74  6
2 2 0  1.495  62.10  26
0 2 7  1.396  67.07  11
2 2 3  1.394  67.16  24

Crystal structure
```
data_Ca3Al2GaAu9
_chemical_formula_sum 'Ca3 Al2 Ga1 Au9'
_cell_length_a 5.9771
_cell_length_b 5.9771
_cell_length_c 11.5991
_cell_angle_alpha 90.00
_cell_angle_beta 90.00
_cell_angle_gamma 120.00
_symmetry_space_group_name_H-M 'P -3 m 1'
_symmetry_Int_Tables_number 164
_symmetry_space_group_name_Hall '-P 3 2"'
loop_
_atom_site_label
_atom_site_fract_x
_atom_site_fract_y
_atom_site_fract_z
_atom_site_occupancy
Ca1 0.0000 0.0000 0.0000 1
Ca2 0.3333 0.6667 0.7602 1
Al1 0.3333 0.6667 0.1674 1
Ga1 0.0000 0.0000 0.5000 1
Au1 0.0000 0.5000 0.0000 1
Au2 0.1655 0.3310 0.3297 1
```

***

(11)
# Ca3AlGa2Au6
Computed powder diffractogram, λ = 1.5418 Å (Cu Kα). Input: a crystal structure in Alexandria, relaxed with PBE.
Neutral-atom scattering factors, no anomalous dispersion.

The 12 most intense peaks (2θ = 5–70°), in order of rising 2θ:
index  d_spacing  2θ (°)  I_rel
1 0 1  4.468  19.87  46
0 0 2  4.183  21.24  40
0 0 3  2.789  32.10  19
2 0 0  2.642  33.93  21
0 2 1  2.519  35.64  100
1 1 2  2.465  36.45  37
2 0 2  2.234  40.38  38
0 2 3  1.918  47.40  35
2 0 4  1.640  56.08  17
0 3 2  1.623  56.70  11
2 2 0  1.525  60.71  21
2 2 2  1.433  65.09  11

Crystal structure
```
data_Ca3AlGa2Au6
_chemical_formula_sum 'Ca3 Al1 Ga2 Au6'
_cell_length_a 6.1016
_cell_length_b 6.1016
_cell_length_c 8.3662
_cell_angle_alpha 90.00
_cell_angle_beta 90.00
_cell_angle_gamma 120.00
_symmetry_space_group_name_H-M 'P -3 m 1'
_symmetry_Int_Tables_number 164
_symmetry_space_group_name_Hall '-P 3 2"'
loop_
_atom_site_label
_atom_site_fract_x
_atom_site_fract_y
_atom_site_fract_z
_atom_site_occupancy
Ca1 0.0000 0.0000 0.0000 1
Ca2 0.3333 0.6667 0.6233 1
Al1 0.0000 0.0000 0.5000 1
Ga1 0.3333 0.6667 0.0179 1
Au1 0.1753 0.3505 0.2855 1
```

***

(12)
# Ca3Al2GeAu6
Computed powder diffractogram, λ = 1.5418 Å (Cu Kα). Input: a crystal structure in Alexandria, relaxed with PBE.
Neutral-atom scattering factors, no anomalous dispersion.

The 12 most intense peaks (2θ = 5–70°), in order of rising 2θ:
index  d_spacing  2θ (°)  I_rel
0 0 1  9.081  9.74  16
0 0 2  4.541  19.55  62
1 0 1  4.444  19.98  44
1 0 3  2.602  34.46  14
2 0 0  2.548  35.23  15
1 1 2  2.469  36.39  29
0 2 1  2.453  36.64  100
0 0 4  2.270  39.70  13
2 0 2  2.222  40.61  40
0 2 3  1.949  46.60  42
2 2 0  1.471  63.22  19
2 2 2  1.399  66.86  15

Crystal structure
```
data_Ca3Al2GeAu6
_chemical_formula_sum 'Ca3 Al2 Ge1 Au6'
_cell_length_a 5.8834
_cell_length_b 5.8834
_cell_length_c 9.0810
_cell_angle_alpha 90.00
_cell_angle_beta 90.00
_cell_angle_gamma 120.00
_symmetry_space_group_name_H-M 'P -3 m 1'
_symmetry_Int_Tables_number 164
_symmetry_space_group_name_Hall '-P 3 2"'
loop_
_atom_site_label
_atom_site_fract_x
_atom_site_fract_y
_atom_site_fract_z
_atom_site_occupancy
Ca1 0.0000 0.0000 0.0000 1
Ca2 0.3333 0.6667 0.6015 1
Al1 0.3333 0.6667 0.0458 1
Ge1 0.0000 0.0000 0.5000 1
Au1 0.1704 0.3409 0.2740 1
```